This entry pairs a crystal structure of Li3MnV3O8 with its theoretical powder X-ray diffraction pattern. Radiation: Cu Ka. Structure: the PBE+U geometry in Alexandria.

Main lines, sorted by position (2θ from 10° to 80°):
13.9°, I = 95.6; 14.9°, I = 67.7; 23.0°, I = 100.0; 28.0°, I = 63.6; 29.3°, I = 38.2; 42.6°, I = 56.7; 43.8°, I = 63.9; 44.4°, I = 70.3

Structure:
a b c (Å): 6.530 6.530 6.662
angles (deg): 106.23 106.23 36.44
Fractional coordinates of all 15 atoms:
Li (0.000, 0.000, 0.000)
Li (0.117, 0.117, 0.635)
Li (0.240, 0.240, 0.369)
Mn (0.464, 0.464, 0.702)
V (0.569, 0.569, 0.303)
V (0.784, 0.784, 0.716)
V (0.885, 0.885, 0.312)
O (0.055, 0.055, 0.315)
O (0.282, 0.282, 0.674)
O (0.410, 0.410, 0.333)
O (0.540, 0.540, 0.028)
O (0.619, 0.619, 0.623)
O (0.739, 0.739, 0.364)
O (0.835, 0.835, 0.989)
O (0.941, 0.941, 0.662)